Starting from a DFT-relaxed cell (PBE, Alexandria), the X-ray powder pattern of Ti3NbS8 was computed for Cu Kα (λ = 1.5418 Å).
Lines closer than 0.1° are merged.

Unit cell a=11.776 b=6.797 c=7.789 alpha=90.00 beta=121.03 gamma=90.00
Space group C2/m (No. 12)
Symmetry-distinct sites (fractional):
Ti 0.000 0.000 0.000 [2 per cell]
Ti 0.250 0.250 0.000 [4 per cell]
Nb 0.000 0.500 0.000 [2 per cell]
S 0.010 0.246 0.780 [8 per cell]
S 0.240 0.000 0.214 [4 per cell]
S 0.244 0.500 0.220 [4 per cell]

Peak list (6 most intense, 2θ from 15° to 90°, sorted by position)
- 30.70 deg, d = 2.912 Å, I 45, hkl 4 0 -1
- 35.27 deg, d = 2.545 Å, I 100, hkl 2 2 -2
- 35.59 deg, d = 2.523 Å, I 49, hkl 4 0 0
- 43.99 deg, d = 2.058 Å, I 27, hkl 2 2 -3
- 47.86 deg, d = 1.900 Å, I 35, hkl 2 2 2
- 53.95 deg, d = 1.699 Å, I 41, hkl 0 4 0